Starting from a structure optimized by DFT (PBE), the X-ray powder pattern of Ba3La2Ti2Nb2O15 was calculated for Cu Kα (weighted mean of Kα1 and Kα2).

Principal peaks in the range 10° ≤ 2θ ≤ 90°, in order of falling intensity:
| Position (°2θ) | I (rel.) |
| --- | --- |
| 29.08 | 100.0 |
| 31.25 | 88.1 |
| 43.21 | 53.5 |
| 54.29 | 35.2 |
| 65.19 | 17.8 |
| 55.62 | 17.3 |

Cell and atoms:
```
Ba3La2Ti2Nb2O15
1.0
5.724 0.000 0.000
-2.862 4.957 0.000
0.000 0.000 11.731
Ba La Ti Nb O
3 2 2 2 15
direct
0.000 0.000 0.000
0.333 0.667 0.422
0.667 0.333 0.578
0.333 0.667 0.784
0.667 0.333 0.216
0.333 0.667 0.096
0.667 0.333 0.904
0.000 0.000 0.306
0.000 0.000 0.694
0.000 0.500 0.000
0.169 0.339 0.192
0.169 0.831 0.192
0.172 0.343 0.620
0.172 0.828 0.620
0.339 0.169 0.808
0.343 0.172 0.380
0.500 0.000 0.000
0.500 0.500 0.000
0.657 0.828 0.620
0.661 0.831 0.192
0.828 0.172 0.380
0.828 0.657 0.380
0.831 0.169 0.808
0.831 0.661 0.808
```

Starting from a structure optimized by DFT (PBE), the X-ray powder pattern of Ba3La3Ti4NbO18 was calculated for Cu Kα (weighted mean of Kα1 and Kα2).

Principal peaks in the range 10° ≤ 2θ ≤ 90°, in order of falling intensity:
| Position (°2θ) | I (rel.) |
| --- | --- |
| 29.94 | 100.0 |
| 31.51 | 90.8 |
| 44.02 | 57.6 |
| 55.13 | 35.9 |
| 65.78 | 18.6 |
| 52.14 | 18.0 |

Cell and atoms:
```
Ba3La3Ti4NbO18
1.0
2.839 1.639 13.770
-2.839 1.639 13.770
0.000 -3.279 13.770
Ba La Ti Nb O
3 3 4 1 18
direct
0.000 0.000 0.000
0.173 0.173 0.173
0.727 0.727 0.727
0.450 0.450 0.450
0.626 0.626 0.626
0.902 0.902 0.902
0.089 0.089 0.089
0.259 0.259 0.259
0.536 0.536 0.536
0.813 0.813 0.813
0.361 0.361 0.361
0.001 0.507 0.507
0.109 0.109 0.618
0.109 0.618 0.109
0.174 0.668 0.668
0.232 0.232 0.724
0.232 0.724 0.232
0.397 0.397 0.886
0.397 0.886 0.397
0.449 0.950 0.950
0.507 0.001 0.507
0.507 0.507 0.001
0.618 0.109 0.109
0.668 0.174 0.668
0.668 0.668 0.174
0.724 0.232 0.232
0.886 0.397 0.397
0.950 0.449 0.950
0.950 0.950 0.449
```

Starting from a structure optimized by DFT (PBE), the X-ray powder pattern of BaLaNd was calculated for Cu Kα (weighted mean of Kα1 and Kα2).

Principal peaks in the range 10° ≤ 2θ ≤ 90°, in order of falling intensity:
| Position (°2θ) | I (rel.) |
| --- | --- |
| 28.12 | 100.0 |
| 32.43 | 68.3 |
| 27.57 | 32.2 |
| 55.24 | 27.6 |
| 46.86 | 25.9 |
| 46.16 | 24.0 |

Cell and atoms:
```
BaLaNd
1.0
3.877 0.000 0.000
-1.939 3.358 0.000
0.000 0.000 9.706
Ba La Nd
1 1 1
direct
0.000 0.000 0.000
0.333 0.667 0.642
0.667 0.333 0.348
```

Starting from a structure optimized by DFT (PBE), the X-ray powder pattern of BaLaNd2Se4 was calculated for Cu Kα (weighted mean of Kα1 and Kα2).

Principal peaks in the range 10° ≤ 2θ ≤ 90°, in order of falling intensity:
| Position (°2θ) | I (rel.) |
| --- | --- |
| 28.98 | 100.0 |
| 41.45 | 49.8 |
| 68.05 | 22.2 |
| 51.61 | 13.2 |
| 51.13 | 13.1 |
| 41.17 | 12.5 |

Cell and atoms:
```
BaLaNd2Se4
1.0
-4.329 4.386 6.162
4.329 -4.386 6.162
4.329 4.386 -6.162
Ba La Nd Se
2 2 4 8
direct
0.500 0.000 0.000
0.500 0.500 0.500
0.000 0.000 0.000
0.500 0.000 0.500
0.000 0.000 0.500
0.000 0.500 0.000
0.000 0.500 0.500
0.500 0.500 0.000
0.232 0.748 0.483
0.235 0.252 0.983
0.242 0.245 0.503
0.242 0.739 0.997
0.758 0.261 0.003
0.758 0.755 0.497
0.765 0.748 0.017
0.768 0.252 0.517
```